[1]
Starting from the PBE geometry in Alexandria, the XRD peak list of Pr4NiIr3 was computed for a wavelength of 1.5418 Å.
Kinematic intensities with the Lorentz-polarization factor, no thermal factor.

Structural model:
a = 4.1008 Å, b = 4.1980 Å, c = 11.0395 Å
α = 90.00°, β = 90.00°, γ = 90.00°
Space group Pmm2 (No. 25)
One atom of each set of equivalent atoms:
Pr1 0.0000 0.0000 0.0000 (multiplicity 1)
Pr2 0.0000 0.5000 0.2854 (multiplicity 1)
Pr3 0.5000 0.0000 0.5014 (multiplicity 1)
Pr4 0.5000 0.5000 0.7870 (multiplicity 1)
Ni1 0.5000 0.0000 0.2120 (multiplicity 1)
Ir1 0.0000 0.0000 0.7236 (multiplicity 1)
Ir2 0.0000 0.5000 0.5586 (multiplicity 1)
Ir3 0.5000 0.5000 0.0763 (multiplicity 1)

Main lines, sorted by position (2θ from 10° to 90°):
- 2θ 31.6, I = 100, (1 1 1)
- 2θ 32.4, I = 24, (0 0 4)
- 2θ 32.7, I = 30, (1 0 3)
- 2θ 39.1, I = 35, (0 1 4)
- 2θ 39.3, I = 78, (1 1 3)
- 2θ 43.1, I = 28, (0 2 0)
- 2θ 44.2, I = 26, (2 0 0)
- 2θ 60.4, I = 20, (2 1 4)
- 2θ 63.4, I = 18, (2 2 0)
- 2θ 79.5, I = 17, (1 2 7)

[2]
Starting from the PBE geometry in Alexandria, the XRD peak list of Ni6IrPt8 was computed for a wavelength of 1.5418 Å.
Kinematic intensities with the Lorentz-polarization factor, no thermal factor.

Structural model:
a = 9.5291 Å, b = 9.5291 Å, c = 2.7448 Å
α = 90.00°, β = 90.00°, γ = 120.00°
Space group P-3 (No. 147)
One atom of each set of equivalent atoms:
Ni1 0.0907 0.4803 0.2554 (multiplicity 6)
Ir1 0.0000 0.0000 0.5000 (multiplicity 1)
Pt1 0.0839 0.7782 0.2356 (multiplicity 6)
Pt2 0.3333 0.6667 0.7575 (multiplicity 2)

Main lines, sorted by position (2θ from 10° to 90°):
- 2θ 10.7, I = 10, (1 0 0)
- 2θ 32.6, I = 15, (3 0 0)
- 2θ 37.8, I = 33, (2 2 0)
- 2θ 39.4, I = 100, (3 1 0)
- 2θ 43.9, I = 29, (3 -2 1)
- 2θ 50.7, I = 11, (4 1 0)
- 2θ 59.3, I = 14, (2 3 1)
- 2θ 71.4, I = 13, (2 5 0)
- 2θ 78.7, I = 9, (7 -4 1)
- 2θ 81.8, I = 9, (4 -1 2)

[3]
Starting from the PBE geometry in Alexandria, the XRD peak list of NiIrPt14 was computed for a wavelength of 1.5418 Å.
Kinematic intensities with the Lorentz-polarization factor, no thermal factor.

Structural model:
a = 9.2274 Å, b = 5.5672 Å, c = 9.6293 Å
α = 90.00°, β = 90.00°, γ = 90.00°
Space group Amm2 (No. 38)
One atom of each set of equivalent atoms:
Ni1 0.0000 0.0000 0.0000 (multiplicity 2)
Ir1 0.0000 0.0000 0.4990 (multiplicity 2)
Pt1 0.0000 0.2502 0.2513 (multiplicity 4)
Pt2 0.2419 0.2488 0.0799 (multiplicity 8)
Pt3 0.2469 0.0000 0.8323 (multiplicity 4)
Pt4 0.2475 0.0000 0.3320 (multiplicity 4)
Pt5 0.5000 0.0000 0.1628 (multiplicity 2)
Pt6 0.5000 0.0000 0.6625 (multiplicity 2)
Pt7 0.5000 0.2505 0.4133 (multiplicity 4)

Main lines, sorted by position (2θ from 10° to 90°):
- 2θ 37.3, I = 10, (0 0 4)
- 2θ 38.6, I = 38, (1 0 4)
- 2θ 39.0, I = 36, (4 0 0)
- 2θ 42.3, I = 100, (2 2 2)
- 2θ 48.0, I = 21, (3 0 4)
- 2θ 63.5, I = 10, (5 0 4)
- 2θ 67.3, I = 22, (0 4 0)
- 2θ 73.0, I = 20, (6 2 2)
- 2θ 80.7, I = 27, (4 4 0)
- 2θ 82.8, I = 15, (2 0 8)

[4]
Starting from the PBE geometry in Alexandria, the XRD peak list of NiIrPt6 was computed for a wavelength of 1.5418 Å.
Kinematic intensities with the Lorentz-polarization factor, no thermal factor.

Structural model:
a = 3.8997 Å, b = 3.8997 Å, c = 15.8377 Å
α = 90.00°, β = 90.00°, γ = 90.00°
Space group I4/mmm (No. 139)
One atom of each set of equivalent atoms:
Ni1 0.0000 0.0000 0.0000 (multiplicity 2)
Ir1 0.0000 0.0000 0.5000 (multiplicity 2)
Pt1 0.0000 0.0000 0.2519 (multiplicity 4)
Pt2 0.0000 0.5000 0.1185 (multiplicity 8)

Main lines, sorted by position (2θ from 10° to 90°):
- 2θ 23.5, I = 3, (1 0 1)
- 2θ 34.4, I = 3, (1 1 2)
- 2θ 39.8, I = 100, (1 1 4)
- 2θ 45.8, I = 16, (0 0 8)
- 2θ 46.6, I = 33, (2 0 0)
- 2θ 67.4, I = 21, (2 0 8)
- 2θ 68.0, I = 11, (2 2 0)
- 2θ 80.7, I = 12, (1 1 12)
- 2θ 81.8, I = 26, (3 1 4)
- 2θ 85.9, I = 11, (2 2 8)

[5]
Starting from the PBE geometry in Alexandria, the XRD peak list of Ni4IrPt was computed for a wavelength of 1.5418 Å.
Kinematic intensities with the Lorentz-polarization factor, no thermal factor.

Structural model:
a = 4.0908 Å, b = 5.1859 Å, c = 7.0977 Å
α = 90.00°, β = 90.00°, γ = 90.00°
Space group Immm (No. 71)
One atom of each set of equivalent atoms:
Ni1 0.0000 0.2494 0.1664 (multiplicity 8)
Ir1 0.0000 0.5000 0.5000 (multiplicity 2)
Pt1 0.0000 0.0000 0.5000 (multiplicity 2)

Main lines, sorted by position (2θ from 10° to 90°):
- 2θ 25.1, I = 49, (0 0 2)
- 2θ 43.2, I = 100, (1 2 1)
- 2θ 44.2, I = 73, (2 0 0)
- 2θ 51.6, I = 8, (2 0 2)
- 2θ 63.6, I = 31, (0 2 4)
- 2θ 73.0, I = 5, (0 4 0)
- 2θ 80.7, I = 21, (2 2 4)
- 2θ 80.8, I = 11, (3 2 1)
- 2θ 81.5, I = 8, (3 0 3)
- 2θ 89.5, I = 19, (2 4 0)

[6]
Starting from the PBE geometry in Alexandria, the XRD peak list of Ni4IrPt4 was computed for a wavelength of 1.5418 Å.
Kinematic intensities with the Lorentz-polarization factor, no thermal factor.

Structural model:
a = 8.1013 Å, b = 8.1013 Å, c = 3.7506 Å
α = 90.00°, β = 90.00°, γ = 90.00°
Space group I4/mmm (No. 139)
One atom of each set of equivalent atoms:
Ni1 0.1622 0.1622 0.0000 (multiplicity 8)
Ir1 0.0000 0.0000 0.5000 (multiplicity 2)
Pt1 0.0000 0.3244 0.5000 (multiplicity 8)

Main lines, sorted by position (2θ from 10° to 90°):
- 2θ 21.9, I = 9, (2 0 0)
- 2θ 26.2, I = 15, (1 0 1)
- 2θ 41.2, I = 100, (3 0 1)
- 2θ 47.6, I = 33, (3 3 0)
- 2θ 48.5, I = 16, (0 0 2)
- 2θ 69.6, I = 10, (6 0 0)
- 2θ 70.4, I = 20, (3 3 2)
- 2θ 84.2, I = 24, (6 3 1)
- 2θ 85.6, I = 12, (3 0 3)
- 2θ 89.4, I = 11, (6 0 2)

[7]
Starting from the PBE geometry in Alexandria, the XRD peak list of Ni3Ir2Pt2 was computed for a wavelength of 1.5418 Å.
Kinematic intensities with the Lorentz-polarization factor, no thermal factor.

Structural model:
a = 8.5394 Å, b = 3.8040 Å, c = 5.8411 Å
α = 90.00°, β = 97.57°, γ = 90.00°
Space group C2/m (No. 12)
One atom of each set of equivalent atoms:
Ni1 0.0000 0.0000 0.0000 (multiplicity 2)
Ni2 0.2156 0.5000 0.1438 (multiplicity 4)
Ir1 0.1445 0.0000 0.4288 (multiplicity 4)
Pt1 0.0727 0.5000 0.7330 (multiplicity 4)

Main lines, sorted by position (2θ from 10° to 90°):
- 2θ 15.3, I = 34, (0 0 1)
- 2θ 30.7, I = 25, (1 1 1)
- 2θ 41.2, I = 100, (3 1 -1)
- 2θ 41.7, I = 95, (1 1 2)
- 2θ 47.7, I = 33, (4 0 1)
- 2θ 47.8, I = 33, (0 2 0)
- 2θ 49.2, I = 29, (2 0 -3)
- 2θ 69.8, I = 21, (4 2 1)
- 2θ 71.1, I = 19, (2 2 -3)
- 2θ 84.9, I = 24, (1 3 2)

[8]
Starting from the PBE geometry in Alexandria, the XRD peak list of Ni2IrPtSe6 was computed for a wavelength of 1.5418 Å.
Kinematic intensities with the Lorentz-polarization factor, no thermal factor.

Structural model:
a = 11.7669 Å, b = 10.9176 Å, c = 6.4681 Å
α = 90.00°, β = 103.73°, γ = 90.00°
Space group C2/c (No. 15)
One atom of each set of equivalent atoms:
Ni1 0.1852 0.0914 0.3203 (multiplicity 8)
Ir1 0.0000 0.4098 0.2500 (multiplicity 4)
Pt1 0.0000 0.2360 0.7500 (multiplicity 4)
Se1 0.1075 0.0681 0.6028 (multiplicity 8)
Se2 0.1114 0.4131 0.6297 (multiplicity 8)
Se3 0.1312 0.2675 0.1245 (multiplicity 8)

Main lines, sorted by position (2θ from 10° to 90°):
- 2θ 11.2, I = 28, (1 1 0)
- 2θ 15.5, I = 78, (2 0 0)
- 2θ 28.5, I = 100, (1 3 -1)
- 2θ 28.6, I = 37, (2 2 1)
- 2θ 34.7, I = 94, (3 3 -1)
- 2θ 35.7, I = 45, (2 0 2)
- 2θ 49.2, I = 66, (1 3 -3)
- 2θ 49.7, I = 31, (6 0 -2)
- 2θ 50.1, I = 27, (0 6 0)
- 2θ 52.2, I = 51, (5 3 1)

Copy entry 6 word for word.
Starting from the PBE geometry in Alexandria, the XRD peak list of Ni4IrPt4 was computed for a wavelength of 1.5418 Å.
Kinematic intensities with the Lorentz-polarization factor, no thermal factor.

Structural model:
a = 8.1013 Å, b = 8.1013 Å, c = 3.7506 Å
α = 90.00°, β = 90.00°, γ = 90.00°
Space group I4/mmm (No. 139)
One atom of each set of equivalent atoms:
Ni1 0.1622 0.1622 0.0000 (multiplicity 8)
Ir1 0.0000 0.0000 0.5000 (multiplicity 2)
Pt1 0.0000 0.3244 0.5000 (multiplicity 8)

Main lines, sorted by position (2θ from 10° to 90°):
- 2θ 21.9, I = 9, (2 0 0)
- 2θ 26.2, I = 15, (1 0 1)
- 2θ 41.2, I = 100, (3 0 1)
- 2θ 47.6, I = 33, (3 3 0)
- 2θ 48.5, I = 16, (0 0 2)
- 2θ 69.6, I = 10, (6 0 0)
- 2θ 70.4, I = 20, (3 3 2)
- 2θ 84.2, I = 24, (6 3 1)
- 2θ 85.6, I = 12, (3 0 3)
- 2θ 89.4, I = 11, (6 0 2)